Theoretical powder diffraction line list
Compound: CdCoTeO
Radiation: λ = 1.5418 Å (Cu Kα)
Structure: the PBE+U geometry in OQMD

Atomic structure:
a = 6.0982 Å, b = 8.9381 Å, c = 5.8732 Å
α = 90.00°, β = 90.00°, γ = 90.00°
Space group Pca2_1 (No. 29)
Inequivalent atoms, fractional coordinates:
Cd: 0.0023 0.1785 0.0000 x4
Co: 0.1176 0.5585 0.8809 x4
Te: 0.0138 0.1635 0.5058 x4
O: 0.0937 0.5693 0.5378 x4

Main lines, in order of rising 2θ (2θ from 5° to 70°):
d/Å	2θ (°)	Rel. int.
8.938	9.9	247
3.049	29.3	918
2.979	30.0	1000
2.937	30.4	919
2.886	31.0	262
2.790	32.1	284
2.519	35.6	251
2.454	36.6	252
2.131	42.4	602
2.115	42.8	611
2.091	43.3	587
1.725	53.1	602